1.
Simulated powder diffraction line list
Compound: ZnCu5Au
Radiation: a wavelength of 1.5418 Å
Structure: a PBE-relaxed structure

Atomic structure:
Unit cell a=4.8394 b=4.8394 c=9.6338 alpha=92.60 beta=92.60 gamma=58.91
Element x y z (fractional)
Zn 0.2364 0.7636 0.7500
Zn 0.7636 0.2364 0.2500
Cu 0.1620 0.1824 0.5608
Cu 0.1824 0.1620 0.0608
Cu 0.2424 0.2668 0.8167
Cu 0.2570 0.7430 0.2500
Cu 0.2668 0.2424 0.3167
Cu 0.7332 0.7576 0.6833
Cu 0.7430 0.2570 0.7500
Cu 0.7576 0.7332 0.1833
Cu 0.8176 0.8380 0.9392
Cu 0.8380 0.8176 0.4392
Au 0.5000 0.5000 0.0000
Au 0.5000 0.5000 0.5000

The 10 most intense peaks (2θ = 5–70°), sorted by position:
d/Å, Position (°2θ), intensity
4.143, 21.45, 45
3.180, 28.06, 38
2.417, 37.20, 66
2.405, 37.39, 35
2.380, 37.81, 34
2.135, 42.34, 100
2.122, 42.61, 70
2.104, 42.99, 40
2.057, 44.02, 81
1.920, 47.33, 67

=====

2.
Simulated powder diffraction line list
Compound: Zn3Cu8Au
Radiation: a wavelength of 1.5418 Å
Structure: a PBE-relaxed structure

Atomic structure:
Unit cell a=2.6842 b=7.6401 c=7.9494 alpha=85.85 beta=80.98 gamma=80.38
Element x y z (fractional)
Zn 0.0000 0.0000 0.0000
Zn 0.1458 0.5478 0.1733
Zn 0.5402 0.1771 0.7381
Cu 0.2189 0.8785 0.6955
Cu 0.3101 0.1851 0.2056
Cu 0.3642 0.5300 0.7368
Cu 0.4627 0.8353 0.2436
Cu 0.6800 0.7142 0.9357
Cu 0.7762 0.0210 0.4473
Cu 0.8441 0.3529 0.9640
Cu 0.9111 0.6879 0.4937
Au 0.6018 0.3750 0.4406

The 10 most intense peaks (2θ = 5–70°), sorted by position:
d/Å, Position (°2θ), intensity
7.842, 11.28, 25
2.359, 38.16, 25
2.340, 38.48, 31
2.160, 41.82, 100
2.069, 43.76, 59
2.043, 44.34, 53
2.016, 44.97, 48
1.985, 45.71, 48
1.974, 45.99, 46
1.961, 46.31, 47

=====

Copy entry 1 word for word.
Simulated powder diffraction line list
Compound: ZnCu5Au
Radiation: a wavelength of 1.5418 Å
Structure: a PBE-relaxed structure

Atomic structure:
Unit cell a=4.8394 b=4.8394 c=9.6338 alpha=92.60 beta=92.60 gamma=58.91
Element x y z (fractional)
Zn 0.2364 0.7636 0.7500
Zn 0.7636 0.2364 0.2500
Cu 0.1620 0.1824 0.5608
Cu 0.1824 0.1620 0.0608
Cu 0.2424 0.2668 0.8167
Cu 0.2570 0.7430 0.2500
Cu 0.2668 0.2424 0.3167
Cu 0.7332 0.7576 0.6833
Cu 0.7430 0.2570 0.7500
Cu 0.7576 0.7332 0.1833
Cu 0.8176 0.8380 0.9392
Cu 0.8380 0.8176 0.4392
Au 0.5000 0.5000 0.0000
Au 0.5000 0.5000 0.5000

The 10 most intense peaks (2θ = 5–70°), sorted by position:
d/Å, Position (°2θ), intensity
4.143, 21.45, 45
3.180, 28.06, 38
2.417, 37.20, 66
2.405, 37.39, 35
2.380, 37.81, 34
2.135, 42.34, 100
2.122, 42.61, 70
2.104, 42.99, 40
2.057, 44.02, 81
1.920, 47.33, 67